Record 1
Theoretical PXRD pattern of SrS2 for Cu Ka, from a DFT-relaxed cell (PBE, Alexandria).

Peak list (10 most intense, 10 to 90 degrees two-theta, in order of rising 2θ)
2θ/deg  I/Imax  h k l
20.5  24  1 1 0
29.1  32  2 0 0
30.9  100  1 1 2
34.7  20  2 1 1
37.4  29  2 0 2
46.8  29  3 1 0
46.9  12  0 0 4
48.0  15  2 2 2
65.4  17  4 0 2
68.4  23  3 1 4

Cell and atoms:
```
data_SrS2
_chemical_formula_sum 'Sr4 S8'
_cell_length_a 6.140
_cell_length_b 6.140
_cell_length_c 7.749
_cell_angle_alpha 90.00
_cell_angle_beta 90.00
_cell_angle_gamma 90.00
_space_group_name_H-M_alt 'I 4/m c m'
_space_group_IT_number 140
_space_group_name_Hall '-I 4 2c'
loop_
_atom_site_label
_atom_site_type_symbol
_atom_site_fract_x
_atom_site_fract_y
_atom_site_fract_z
Sr1 Sr 0.000 0.000 0.250
S1 S 0.122 0.378 0.000
```

Record 2
Theoretical PXRD pattern of Ba3ClO3 for Cu Ka, from a DFT-relaxed cell (PBE, Alexandria).

Peak list (10 most intense, 10 to 90 degrees two-theta, in order of rising 2θ)
2θ/deg  I/Imax  h k l
21.6  38  1 1 -1
24.1  72  2 0 2
25.1  39  2 0 -4
27.7  100  3 1 -1
27.9  30  3 1 -2
28.1  88  1 1 -3
29.3  29  3 1 0
41.5  34  0 2 0
42.1  41  5 1 -5
48.9  26  5 1 2

Cell and atoms:
```
data_Ba3ClO3
_chemical_formula_sum 'Ba12 Cl4 O12'
_cell_length_a 14.593
_cell_length_b 4.348
_cell_length_c 14.187
_cell_angle_alpha 90.00
_cell_angle_beta 118.25
_cell_angle_gamma 90.00
_space_group_name_H-M_alt 'C 1 2/m 1'
_space_group_IT_number 12
loop_
_space_group_symop_operation_xyz
'x,y,z'
'-x,-y,-z'
'-x,y,-z'
'x,-y,z'
'x+1/2,y+1/2,z'
'-x+1/2,-y+1/2,-z'
'-x+1/2,y+1/2,-z'
'x+1/2,-y+1/2,z'
loop_
_atom_site_label
_atom_site_type_symbol
_atom_site_fract_x
_atom_site_fract_y
_atom_site_fract_z
Ba1 Ba 0.019 0.000 0.223
Ba2 Ba 0.185 0.500 0.070
Ba3 Ba 0.226 0.000 0.608
Cl1 Cl 0.133 0.500 0.723
O1 O 0.107 0.500 0.199
O2 O 0.145 0.000 0.958
O3 O 0.180 0.000 0.407
```

Record 3
Theoretical PXRD pattern of Na3IBr4 for Cu Ka, from a DFT-relaxed cell (PBE, Alexandria).

Peak list (10 most intense, 10 to 90 degrees two-theta, in order of rising 2θ)
2θ/deg  I/Imax  h k l
21.7  14  2 1 0
22.6  68  0 0 2
22.9  100  0 2 1
30.1  15  2 2 1
31.3  16  3 0 1
32.9  16  3 1 1
35.5  16  3 2 0
39.2  14  4 0 0
39.9  32  0 2 3
45.8  17  4 2 1

Cell and atoms:
```
data_Na3IBr4
_chemical_formula_sum 'Na6 I2 Br8'
_cell_length_a 9.201
_cell_length_b 8.933
_cell_length_c 7.870
_cell_angle_alpha 90.00
_cell_angle_beta 90.00
_cell_angle_gamma 90.00
_space_group_name_H-M_alt 'P m n 21'
_space_group_IT_number 31
loop_
_space_group_symop_operation_xyz
'x,y,z'
'-x+1/2,-y,z+1/2'
'-x,y,z'
'x+1/2,-y,z+1/2'
loop_
_atom_site_label
_atom_site_type_symbol
_atom_site_fract_x
_atom_site_fract_y
_atom_site_fract_z
Na1 Na 0.000 0.133 0.000
Na2 Na 0.247 0.695 0.040
I1 I 0.000 0.644 0.647
Br1 Br 0.000 0.164 0.649
Br2 Br 0.000 0.850 0.145
Br3 Br 0.202 0.371 0.161
```

Record 4
Theoretical PXRD pattern of Rb3ZrSe3 for Cu Ka, from a DFT-relaxed cell (PBE, Alexandria).

Peak list (10 most intense, 10 to 90 degrees two-theta, in order of rising 2θ)
2θ/deg  I/Imax  h k l
26.2  45  2 1 -3
26.9  100  2 1 0
27.4  99  1 4 -1
27.8  48  1 2 -3
28.1  75  1 3 1
28.4  53  2 2 -3
32.4  56  2 0 -4
32.7  51  1 2 2
34.1  36  3 2 -2
44.3  55  4 2 -3

Cell and atoms:
```
data_Rb3ZrSe3
_chemical_formula_sum 'Rb12 Zr4 Se12'
_cell_length_a 8.558
_cell_length_b 14.123
_cell_length_c 11.065
_cell_angle_alpha 90.00
_cell_angle_beta 127.07
_cell_angle_gamma 90.00
_space_group_name_H-M_alt 'P 1 21/c 1'
_space_group_IT_number 14
loop_
_space_group_symop_operation_xyz
'x,y,z'
'-x,-y,-z'
'-x,y+1/2,-z+1/2'
'x,-y+1/2,z+1/2'
loop_
_atom_site_label
_atom_site_type_symbol
_atom_site_fract_x
_atom_site_fract_y
_atom_site_fract_z
Rb1 Rb 0.093 0.141 0.478
Rb2 Rb 0.137 0.071 0.894
Rb3 Rb 0.373 0.685 0.570
Zr1 Zr 0.442 0.053 0.350
Se1 Se 0.140 0.163 0.189
Se2 Se 0.342 0.619 0.870
Se3 Se 0.366 0.539 0.260
```

Record 5
Theoretical PXRD pattern of La2ClO2 for Cu Ka, from a DFT-relaxed cell (PBE, Alexandria).

Peak list (10 most intense, 10 to 90 degrees two-theta, in order of rising 2θ)
2θ/deg  I/Imax  h k l
12.1  28  0 0 2
25.1  29  1 0 0
25.8  57  1 0 1
27.9  32  1 0 2
31.1  100  1 0 3
35.2  33  1 0 4
36.8  25  0 0 6
44.2  53  1 1 0
50.6  27  1 0 7
58.8  36  1 1 6

Cell and atoms:
```
data_La2ClO2
_chemical_formula_sum 'La4 Cl2 O4'
_cell_length_a 4.1025
_cell_length_b 4.1025
_cell_length_c 14.6541
_cell_angle_alpha 90.00
_cell_angle_beta 90.00
_cell_angle_gamma 120.00
_space_group_name_H-M_alt 'P 63/m m c'
_space_group_IT_number 194
_space_group_name_Hall '-P 6c 2c'
loop_
_atom_site_label
_atom_site_type_symbol
_atom_site_fract_x
_atom_site_fract_y
_atom_site_fract_z
La1 La 0.3333 0.6667 0.0951
Cl1 Cl 0.0000 0.0000 0.2500
O1 O 0.3333 0.6667 0.5676
```

Record 6
Theoretical PXRD pattern of RbDy4Te6 for Cu Ka, from a DFT-relaxed cell (PBE, Alexandria).

Peak list (10 most intense, 10 to 90 degrees two-theta, in order of rising 2θ)
2θ/deg  I/Imax  h k l
22.6  21  0 2 5
26.0  58  0 2 6
27.4  76  1 3 1
28.2  100  1 3 2
29.5  99  0 2 7
37.4  33  1 1 8
40.0  62  0 6 4
40.6  45  2 0 0
40.8  36  1 1 9
41.7  55  1 5 5

Cell and atoms:
```
data_RbDy4Te6
_chemical_formula_sum 'Rb4 Dy16 Te24'
_cell_length_a 4.440
_cell_length_b 14.642
_cell_length_c 23.318
_cell_angle_alpha 90.00
_cell_angle_beta 90.00
_cell_angle_gamma 90.00
_space_group_name_H-M_alt 'C m c m'
_space_group_IT_number 63
_space_group_name_Hall '-C 2c 2'
loop_
_atom_site_label
_atom_site_type_symbol
_atom_site_fract_x
_atom_site_fract_y
_atom_site_fract_z
Rb1 Rb 0.000 0.161 0.250
Dy1 Dy 0.000 0.093 0.630
Dy2 Dy 0.000 0.365 0.539
Te1 Te 0.000 0.000 0.000
Te2 Te 0.000 0.148 0.750
Te3 Te 0.000 0.271 0.082
Te4 Te 0.000 0.458 0.653
```

Record 7
Theoretical PXRD pattern of V13H2 for Cu Ka, from a DFT-relaxed cell (PBE, Alexandria).

Peak list (10 most intense, 10 to 90 degrees two-theta, in order of rising 2θ)
2θ/deg  I/Imax  h k l
42.1  100  1 -1 2
42.2  99  2 2 1
42.3  99  0 3 1
60.8  15  3 1 3
61.4  15  1 3 -1
61.5  15  -1 3 3
76.8  7  3 4 4
76.9  7  3 -2 2
77.2  42  2 5 2
77.4  14  3 2 -1

Cell and atoms:
```
data_V13H2
_chemical_formula_sum 'V13 H2'
_cell_length_a 5.034
_cell_length_b 6.590
_cell_length_c 6.622
_cell_angle_alpha 61.71
_cell_angle_beta 69.15
_cell_angle_gamma 77.80
_space_group_name_H-M_alt 'P -1'
_space_group_IT_number 2
loop_
_space_group_symop_operation_xyz
'x,y,z'
'-x,-y,-z'
loop_
_atom_site_label
_atom_site_type_symbol
_atom_site_fract_x
_atom_site_fract_y
_atom_site_fract_z
V1 V 0.000 0.000 0.000
V2 V 0.075 0.156 0.538
V3 V 0.169 0.308 0.080
V4 V 0.233 0.462 0.613
V5 V 0.318 0.606 0.166
V6 V 0.394 0.772 0.678
V7 V 0.462 0.921 0.230
H1 H 0.133 0.752 0.952
```

Record 8
Theoretical PXRD pattern of Ba2Mg4SnHg3 for Cu Ka, from a DFT-relaxed cell (PBE, Alexandria).

Peak list (10 most intense, 10 to 90 degrees two-theta, in order of rising 2θ)
2θ/deg  I/Imax  h k l
23.7  65  1 0 2
25.6  96  1 1 1
29.3  88  1 1 2
30.0  97  1 0 3
34.6  100  2 0 0
41.3  33  1 1 4
42.3  29  2 1 2
46.4  59  2 1 3
49.7  36  2 2 0
58.8  25  3 1 2

Cell and atoms:
```
data_Ba2Mg4SnHg3
_chemical_formula_sum 'Ba2 Mg4 Sn1 Hg3'
_cell_length_a 5.189
_cell_length_b 5.189
_cell_length_c 10.899
_cell_angle_alpha 90.00
_cell_angle_beta 90.00
_cell_angle_gamma 90.00
_space_group_name_H-M_alt 'P -4 m 2'
_space_group_IT_number 115
loop_
_space_group_symop_operation_xyz
'x,y,z'
'y,-x,-z'
'-x,-y,z'
'-y,x,-z'
'-x,y,z'
'-y,-x,-z'
'x,-y,z'
'y,x,-z'
loop_
_atom_site_label
_atom_site_type_symbol
_atom_site_fract_x
_atom_site_fract_y
_atom_site_fract_z
Ba1 Ba 0.000 0.500 0.240
Mg1 Mg 0.000 0.000 0.500
Mg2 Mg 0.000 0.500 0.871
Mg3 Mg 0.500 0.500 0.500
Sn1 Sn 0.500 0.500 0.000
Hg1 Hg 0.000 0.000 0.000
Hg2 Hg 0.000 0.500 0.614
```

Record 9
Theoretical PXRD pattern of PmYEr2Tm2 for Cu Ka, from a DFT-relaxed cell (PBE, Alexandria).

Peak list (10 most intense, 10 to 90 degrees two-theta, in order of rising 2θ)
2θ/deg  I/Imax  h k l
25.8  13  2 0 0
31.8  81  2 2 0
32.0  100  0 3 1
41.6  22  2 3 1
45.8  30  2 4 0
56.9  37  0 6 0
57.0  13  0 3 3
63.3  28  4 3 1
75.9  9  2 7 1
81.6  14  4 6 0

Cell and atoms:
```
data_PmYEr2Tm2
_chemical_formula_sum 'Pm2 Y2 Er4 Tm4'
_cell_length_a 6.901
_cell_length_b 9.703
_cell_length_c 5.590
_cell_angle_alpha 90.00
_cell_angle_beta 90.00
_cell_angle_gamma 90.00
_space_group_name_H-M_alt 'P n n m'
_space_group_IT_number 58
loop_
_space_group_symop_operation_xyz
'x,y,z'
'-x,-y,-z'
'-x,-y,z'
'x,y,-z'
'x+1/2,-y+1/2,-z+1/2'
'-x+1/2,y+1/2,z+1/2'
'-x+1/2,y+1/2,-z+1/2'
'x+1/2,-y+1/2,z+1/2'
loop_
_atom_site_label
_atom_site_type_symbol
_atom_site_fract_x
_atom_site_fract_y
_atom_site_fract_z
Pm1 Pm 0.000 0.000 0.000
Y1 Y 0.000 0.500 0.500
Er1 Er 0.249 0.334 0.000
Tm1 Tm 0.249 0.667 0.000
```

Record 10
Theoretical PXRD pattern of Rb2NaNb6P3O24 for Cu Ka, from a DFT-relaxed cell (PBE, Alexandria).

Peak list (10 most intense, 10 to 90 degrees two-theta, in order of rising 2θ)
2θ/deg  I/Imax  h k l
11.3  21  1 1 0
13.0  32  1 1 -1
18.5  43  2 0 0
25.4  46  2 0 1
26.2  100  2 2 -2
26.3  44  0 4 0
28.6  55  1 3 -2
32.3  25  2 4 0
46.4  20  2 6 -2
55.4  20  1 3 4

Cell and atoms:
```
data_Rb2NaNb6P3O24
_chemical_formula_sum 'Rb4 Na2 Nb12 P6 O48'
_cell_length_a 10.538
_cell_length_b 13.550
_cell_length_c 8.594
_cell_angle_alpha 90.00
_cell_angle_beta 114.20
_cell_angle_gamma 90.00
_space_group_name_H-M_alt 'C 1 2 1'
_space_group_IT_number 5
loop_
_space_group_symop_operation_xyz
'x,y,z'
'-x,y,-z'
'x+1/2,y+1/2,z'
'-x+1/2,y+1/2,-z'
loop_
_atom_site_label
_atom_site_type_symbol
_atom_site_fract_x
_atom_site_fract_y
_atom_site_fract_z
Rb1 Rb 0.249 0.000 0.209
Na1 Na 0.000 0.344 0.000
Nb1 Nb 0.093 0.787 0.849
Nb2 Nb 0.193 0.006 0.656
Nb3 Nb 0.243 0.248 0.462
P1 P 0.000 0.575 0.000
P2 P 0.116 0.234 0.771
O1 O 0.000 0.001 0.500
O2 O 0.000 0.822 0.000
O3 O 0.040 0.251 0.265
O4 O 0.077 0.771 0.349
O5 O 0.078 0.638 0.917
O6 O 0.104 0.506 0.137
O7 O 0.139 0.917 0.813
O8 O 0.147 0.123 0.789
O9 O 0.150 0.283 0.631
O10 O 0.194 0.726 0.711
O11 O 0.201 0.288 0.943
O12 O 0.235 0.110 0.523
O13 O 0.242 0.400 0.431
```